Entry 1:
Starting from the GGA-PBE geometry in Alexandria, the X-ray diffraction stick pattern of Li4PuPa3S8 was computed for Cu Kα (weighted mean of Kα1 and Kα2).
No peak broadening, texture or thermal motion is included.

Cell and atoms:
```
Li4PuPa3S8
1.0
3.882 2.241 6.292
-3.882 2.241 6.292
0.000 -4.483 6.292
Li Pu Pa S
4 1 3 8
Direct
0.000 0.000 0.000
0.000 0.500 0.500
0.500 0.000 0.500
0.500 0.500 0.000
0.500 0.500 0.500
0.000 0.000 0.500
0.000 0.500 0.000
0.500 0.000 0.000
0.245 0.245 0.752
0.245 0.752 0.245
0.248 0.755 0.755
0.254 0.254 0.254
0.746 0.746 0.746
0.752 0.245 0.245
0.755 0.248 0.755
0.755 0.755 0.248
```

Principal peaks in the range 15° ≤ 2θ ≤ 90°, by intensity:
d [Å]	2theta	I (rel.)
2.738	32.70	100
3.310	26.94	91
2.511	35.76	46
3.167	28.18	44
1.941	46.80	37
1.931	47.05	36
1.855	49.12	35
2.104	43.00	25
1.584	58.26	19
1.425	65.52	17

Entry 2:
Starting from the GGA-PBE geometry in Alexandria, the X-ray diffraction stick pattern of RbLi2Pa2Se6 was computed for Cu Kα (weighted mean of Kα1 and Kα2).
No peak broadening, texture or thermal motion is included.

Cell and atoms:
```
RbLi2Pa2Se6
1.0
6.980 0.000 0.000
0.002 7.422 0.000
0.015 3.711 6.428
Rb Li Pa Se
1 2 2 6
Direct
0.000 0.000 0.000
0.500 0.334 0.333
0.500 0.666 0.667
0.000 0.333 0.333
0.000 0.667 0.667
0.245 0.000 0.595
0.245 0.404 0.999
0.245 0.596 0.404
0.755 0.000 0.405
0.755 0.404 0.596
0.755 0.596 0.001
```

Principal peaks in the range 15° ≤ 2θ ≤ 90°, by intensity:
d [Å]	2theta	I (rel.)
3.277	27.21	100
2.542	35.30	76
1.971	46.04	26
2.143	42.17	25
2.048	44.22	21
3.711	23.98	21
2.364	38.06	19
1.793	50.92	15
2.295	39.26	13
1.727	53.01	12

Entry 3:
Starting from the GGA-PBE geometry in Alexandria, the X-ray diffraction stick pattern of Li4PaRh12 was computed for Cu Kα (weighted mean of Kα1 and Kα2).
No peak broadening, texture or thermal motion is included.

Cell and atoms:
```
Li4PaRh12
1.0
6.766 3.906 1.621
-6.766 3.906 1.621
0.000 -7.813 1.621
Li Pa Rh
4 1 12
Direct
0.000 0.000 0.000
0.000 0.500 0.500
0.500 0.000 0.500
0.500 0.500 0.000
0.500 0.500 0.500
0.056 0.872 0.556
0.128 0.444 0.944
0.160 0.510 0.311
0.311 0.160 0.510
0.444 0.944 0.128
0.490 0.689 0.840
0.510 0.311 0.160
0.556 0.056 0.872
0.689 0.840 0.490
0.840 0.490 0.689
0.872 0.556 0.056
0.944 0.128 0.444
```

Principal peaks in the range 15° ≤ 2θ ≤ 90°, by intensity:
d [Å]	2theta	I (rel.)
2.353	38.25	100
3.742	23.78	94
2.557	35.09	72
2.131	42.41	66
1.791	50.99	39
4.491	19.77	31
1.877	48.51	29
2.111	42.83	26
1.803	50.62	24
2.246	40.15	22

Entry 4:
Starting from the GGA-PBE geometry in Alexandria, the X-ray diffraction stick pattern of LiPaRh3 was computed for Cu Kα (weighted mean of Kα1 and Kα2).
No peak broadening, texture or thermal motion is included.

Cell and atoms:
```
LiPaRh3
1.0
6.415 0.000 0.000
-3.207 5.555 0.000
0.000 0.000 4.450
Li Pa Rh
2 2 6
Direct
0.000 0.000 0.000
0.000 0.000 0.500
0.333 0.667 0.250
0.667 0.333 0.750
0.190 0.380 0.750
0.190 0.810 0.750
0.380 0.190 0.250
0.620 0.810 0.750
0.810 0.190 0.250
0.810 0.620 0.250
```

Principal peaks in the range 15° ≤ 2θ ≤ 90°, by intensity:
d [Å]	2theta	I (rel.)
2.356	38.19	100
2.778	32.23	26
5.555	15.95	24
2.225	40.54	21
1.604	57.46	17
1.301	72.68	16
1.899	47.90	16
1.309	72.19	15
1.737	52.71	14
1.326	71.11	13

Entry 5:
Starting from the GGA-PBE geometry in Alexandria, the X-ray diffraction stick pattern of LiPaRuRh was computed for Cu Kα (weighted mean of Kα1 and Kα2).
No peak broadening, texture or thermal motion is included.

Cell and atoms:
```
LiPaRuRh
1.0
6.456 0.000 0.000
0.000 6.456 0.000
0.000 0.000 6.456
Li Pa Ru Rh
4 4 4 4
Direct
0.000 0.000 0.000
0.000 0.500 0.500
0.500 0.000 0.500
0.500 0.500 0.000
0.000 0.000 0.500
0.000 0.500 0.000
0.500 0.000 0.000
0.500 0.500 0.500
0.250 0.250 0.250
0.250 0.750 0.750
0.750 0.250 0.750
0.750 0.750 0.250
0.250 0.250 0.750
0.250 0.750 0.250
0.750 0.250 0.250
0.750 0.750 0.750
```

Principal peaks in the range 15° ≤ 2θ ≤ 90°, by intensity:
d [Å]	2theta	I (rel.)
2.283	39.48	100
3.728	23.87	61
1.318	71.60	35
1.947	46.66	32
1.614	57.06	17
1.481	62.73	13
1.141	84.98	11
1.091	89.89	11
1.243	76.70	10

Entry 6:
Starting from the GGA-PBE geometry in Alexandria, the X-ray diffraction stick pattern of Li4Pa3RhS8 was computed for Cu Kα (weighted mean of Kα1 and Kα2).
No peak broadening, texture or thermal motion is included.

Cell and atoms:
```
Li4Pa3RhS8
1.0
6.794 -3.618 0.000
6.794 3.618 0.000
-4.332 0.000 6.402
Li Pa Rh S
4 3 1 8
Direct
0.000 0.000 0.000
0.000 0.500 0.000
0.500 0.000 0.000
0.500 0.500 0.000
0.000 0.000 0.500
0.000 0.500 0.500
0.500 0.000 0.500
0.500 0.500 0.500
0.216 0.216 0.209
0.245 0.245 0.765
0.272 0.720 0.731
0.280 0.728 0.269
0.720 0.272 0.731
0.728 0.280 0.269
0.755 0.755 0.235
0.784 0.784 0.791
```

Principal peaks in the range 15° ≤ 2θ ≤ 90°, by intensity:
d [Å]	2theta	I (rel.)
2.642	33.94	100
3.143	28.40	84
2.814	31.81	58
1.933	47.02	57
3.361	26.52	52
2.473	36.32	47
3.043	29.35	38
1.919	47.37	37
2.066	43.81	26
2.506	35.83	22

Entry 7:
Starting from the GGA-PBE geometry in Alexandria, the X-ray diffraction stick pattern of Li4Pa3RhSe8 was computed for Cu Kα (weighted mean of Kα1 and Kα2).
No peak broadening, texture or thermal motion is included.

Cell and atoms:
```
Li4Pa3RhSe8
1.0
3.890 2.246 6.696
-3.890 2.246 6.696
0.000 -4.492 6.696
Li Pa Rh Se
4 3 1 8
Direct
0.000 0.000 0.000
0.000 0.500 0.500
0.500 0.000 0.500
0.500 0.500 0.000
0.000 0.000 0.500
0.000 0.500 0.000
0.500 0.000 0.000
0.500 0.500 0.500
0.257 0.257 0.257
0.258 0.258 0.732
0.258 0.732 0.258
0.268 0.742 0.742
0.732 0.258 0.258
0.742 0.268 0.742
0.742 0.742 0.268
0.743 0.743 0.743
```

Principal peaks in the range 15° ≤ 2θ ≤ 90°, by intensity:
d [Å]	2theta	I (rel.)
2.798	31.99	100
3.323	26.83	45
2.013	45.03	38
1.945	46.70	35
2.581	34.75	25
1.597	57.73	18
1.868	48.75	17
1.269	74.83	17
1.234	77.30	15
2.185	41.33	12

Entry 8:
Starting from the GGA-PBE geometry in Alexandria, the X-ray diffraction stick pattern of Li3Pa4S12 was computed for Cu Kα (weighted mean of Kα1 and Kα2).
No peak broadening, texture or thermal motion is included.

Cell and atoms:
```
Li3Pa4S12
1.0
-4.953 4.953 4.953
4.953 -4.953 4.953
4.953 4.953 -4.953
Li Pa S
3 4 12
Direct
0.000 0.500 0.500
0.500 0.000 0.500
0.500 0.500 0.000
0.000 0.000 0.500
0.000 0.500 0.000
0.500 0.000 0.000
0.500 0.500 0.500
0.131 0.311 0.819
0.181 0.492 0.311
0.181 0.869 0.689
0.311 0.181 0.492
0.311 0.819 0.131
0.492 0.311 0.181
0.508 0.689 0.819
0.689 0.181 0.869
0.689 0.819 0.508
0.819 0.131 0.311
0.819 0.508 0.689
0.869 0.689 0.181
```

Principal peaks in the range 15° ≤ 2θ ≤ 90°, by intensity:
d [Å]	2theta	I (rel.)
4.953	17.91	100
3.502	25.43	62
2.215	40.74	56
2.022	44.83	44
2.476	36.28	21
1.651	55.68	21
2.859	31.28	19
1.324	71.24	17
1.493	62.17	16
1.201	79.85	16

Entry 9:
Starting from the GGA-PBE geometry in Alexandria, the X-ray diffraction stick pattern of Li2Pa4S9 was computed for Cu Kα (weighted mean of Kα1 and Kα2).
No peak broadening, texture or thermal motion is included.

Cell and atoms:
```
Li2Pa4S9
1.0
5.900 -3.404 0.000
5.900 3.404 0.000
-0.001 0.000 18.499
Li Pa S
4 8 18
Direct
0.000 0.001 0.161
0.000 0.999 0.839
0.001 0.000 0.661
0.999 0.000 0.339
0.333 0.333 0.484
0.333 0.333 0.984
0.333 0.334 0.181
0.334 0.333 0.681
0.666 0.667 0.319
0.667 0.666 0.819
0.667 0.667 0.016
0.667 0.667 0.516
0.001 0.686 0.750
0.034 0.639 0.082
0.035 0.327 0.582
0.313 0.687 0.250
0.314 0.999 0.750
0.327 0.035 0.082
0.327 0.638 0.582
0.361 0.966 0.418
0.362 0.673 0.918
0.638 0.327 0.082
0.639 0.034 0.582
0.673 0.362 0.418
0.673 0.965 0.918
0.686 0.001 0.250
0.687 0.313 0.750
0.965 0.673 0.418
0.966 0.361 0.918
0.999 0.314 0.250
```

Principal peaks in the range 15° ≤ 2θ ≤ 90°, by intensity:
d [Å]	2theta	I (rel.)
5.898	15.02	100
3.639	24.46	100
3.405	26.17	82
2.285	39.43	81
4.973	17.84	47
2.008	45.15	46
2.486	36.12	46
1.966	46.17	43
1.765	51.79	26
1.424	65.58	23

Entry 10:
Starting from the GGA-PBE geometry in Alexandria, the X-ray diffraction stick pattern of Li2Pa2S7 was computed for Cu Kα (weighted mean of Kα1 and Kα2).
No peak broadening, texture or thermal motion is included.

Cell and atoms:
```
Li2Pa2S7
1.0
3.591 -6.042 0.000
3.591 6.042 0.000
-3.032 0.000 6.909
Li Pa S
2 2 7
Direct
0.173 0.173 0.291
0.827 0.827 0.709
0.327 0.673 0.000
0.673 0.327 0.000
0.000 0.000 0.500
0.092 0.456 0.204
0.294 0.294 0.790
0.456 0.092 0.204
0.544 0.908 0.796
0.706 0.706 0.210
0.908 0.544 0.796
```

Principal peaks in the range 15° ≤ 2θ ≤ 90°, by intensity:
d [Å]	2theta	I (rel.)
3.435	25.94	100
2.847	31.42	90
5.486	16.16	83
3.079	29.00	80
4.548	19.52	76
2.012	45.06	73
5.777	15.34	55
3.577	24.89	43
2.215	40.74	43
2.741	32.67	43

Entry 11:
Starting from the GGA-PBE geometry in Alexandria, the X-ray diffraction stick pattern of Li3Pa2S6 was computed for Cu Kα (weighted mean of Kα1 and Kα2).
No peak broadening, texture or thermal motion is included.

Cell and atoms:
```
Li3Pa2S6
1.0
3.450 -5.926 0.000
3.450 5.926 0.000
-2.393 0.000 6.086
Li Pa S
3 2 6
Direct
0.000 0.000 0.000
0.340 0.660 0.000
0.660 0.340 0.000
0.167 0.833 0.500
0.833 0.167 0.500
0.051 0.414 0.252
0.224 0.224 0.762
0.414 0.051 0.252
0.586 0.949 0.748
0.776 0.776 0.238
0.949 0.586 0.748
```

Principal peaks in the range 15° ≤ 2θ ≤ 90°, by intensity:
d [Å]	2theta	I (rel.)
2.731	32.79	100
5.646	15.70	79
3.365	26.49	75
5.023	17.66	57
2.773	32.29	51
2.510	35.78	46
1.906	47.70	39
1.988	45.64	37
3.399	26.22	37
3.215	27.75	37

Entry 12:
Starting from the GGA-PBE geometry in Alexandria, the X-ray diffraction stick pattern of LiSm2PaS6 was computed for Cu Kα (weighted mean of Kα1 and Kα2).
No peak broadening, texture or thermal motion is included.

Cell and atoms:
```
LiSm2PaS6
1.0
6.421 0.000 0.000
0.000 6.421 0.000
0.000 0.000 6.355
Li Sm Pa S
1 2 1 6
Direct
0.000 0.000 0.000
0.000 0.500 0.454
0.500 0.000 0.454
0.500 0.500 0.052
0.000 0.000 0.631
0.240 0.240 0.199
0.240 0.760 0.199
0.500 0.500 0.633
0.760 0.240 0.199
0.760 0.760 0.199
```

Principal peaks in the range 15° ≤ 2θ ≤ 90°, by intensity:
d [Å]	2theta	I (rel.)
3.694	24.09	100
2.258	39.92	36
3.210	27.79	35
1.934	46.98	35
4.517	19.66	34
2.270	39.71	33
2.603	34.45	27
2.617	34.27	19
2.869	31.17	19
1.711	53.56	15